Record 1
In2Ag5O6: computed powder XRD pattern (Cu Kα (weighted mean of Kα1 and Kα2)), based on a GGA-PBE-relaxed structure.

```
data_In2Ag5O6
_cell_length_a 5.8492
_cell_length_b 5.8492
_cell_length_c 6.3075
_cell_angle_alpha 90.00
_cell_angle_beta 90.00
_cell_angle_gamma 120.00
_space_group_name_H-M_alt 'P -3 1 m'
_space_group_IT_number 162
_space_group_name_Hall '-P 3 2'
loop_
_atom_site_label
_atom_site_fract_x
_atom_site_fract_y
_atom_site_fract_z
_atom_site_occupancy
In1 0.3333 0.6667 0.0000 1
Ag1 0.0000 0.0000 0.2692 1
Ag2 0.0000 0.5000 0.5000 1
O1 0.0000 0.3795 0.8101 1
```

Peak list (8 most intense, 2θ from 10° to 90°, sorted by position)
| 2θ/deg | d_spacing | I (rel.) |
| --- | --- | --- |
| 30.57 | 2.925 | 30 |
| 33.47 | 2.677 | 100 |
| 33.78 | 2.653 | 49 |
| 35.44 | 2.533 | 52 |
| 38.29 | 2.350 | 79 |
| 53.69 | 1.707 | 28 |
| 56.20 | 1.637 | 45 |
| 63.63 | 1.462 | 23 |

Record 2
In2Ag2O5: computed powder XRD pattern (Cu Kα (weighted mean of Kα1 and Kα2)), based on a GGA-PBE-relaxed structure.

```
data_In2Ag2O5
_cell_length_a 3.9212
_cell_length_b 3.9212
_cell_length_c 8.3141
_cell_angle_alpha 90.00
_cell_angle_beta 90.00
_cell_angle_gamma 90.00
_space_group_name_H-M_alt 'P 4/m m m'
_space_group_IT_number 123
_space_group_name_Hall '-P 4 2'
loop_
_atom_site_label
_atom_site_fract_x
_atom_site_fract_y
_atom_site_fract_z
_atom_site_occupancy
In1 0.0000 0.0000 0.2496 1
Ag1 0.5000 0.5000 0.0000 1
Ag2 0.5000 0.5000 0.5000 1
O1 0.0000 0.0000 0.0000 1
O2 0.0000 0.5000 0.3404 1
```

Peak list (8 most intense, 2θ from 10° to 90°, sorted by position)
| 2θ/deg | d_spacing | I (rel.) |
| --- | --- | --- |
| 31.36 | 2.852 | 100 |
| 32.29 | 2.773 | 40 |
| 43.54 | 2.079 | 10 |
| 46.31 | 1.961 | 25 |
| 55.23 | 1.663 | 25 |
| 57.00 | 1.616 | 35 |
| 65.44 | 1.426 | 11 |
| 72.32 | 1.307 | 8 |

Record 3
In5AgO8: computed powder XRD pattern (Cu Kα (weighted mean of Kα1 and Kα2)), based on a GGA-PBE-relaxed structure.

```
data_In5AgO8
_cell_length_a 4.9328
_cell_length_b 4.9328
_cell_length_c 10.3845
_cell_angle_alpha 90.00
_cell_angle_beta 90.00
_cell_angle_gamma 90.00
_space_group_name_H-M_alt 'P -4 2 m'
_space_group_IT_number 111
loop_
_space_group_symop_operation_xyz
'x,y,z'
'y,-x,-z'
'-x,-y,z'
'-y,x,-z'
'x,-y,-z'
'y,x,z'
'-x,y,-z'
'-y,-x,z'
loop_
_atom_site_label
_atom_site_fract_x
_atom_site_fract_y
_atom_site_fract_z
_atom_site_occupancy
In1 0.0000 0.0000 0.0000 1
In2 0.0000 0.5000 0.2440 1
Ag1 0.5000 0.5000 0.5000 1
O1 0.2309 0.2309 0.1258 1
O2 0.2646 0.2646 0.6563 1
```

Peak list (8 most intense, 2θ from 10° to 90°, sorted by position)
| 2θ/deg | d_spacing | I (rel.) |
| --- | --- | --- |
| 17.08 | 5.192 | 15 |
| 19.93 | 4.456 | 34 |
| 30.88 | 2.895 | 100 |
| 36.43 | 2.466 | 21 |
| 51.08 | 1.788 | 29 |
| 52.47 | 1.744 | 14 |
| 59.64 | 1.550 | 14 |
| 62.13 | 1.494 | 25 |